Record 1
For Li4Zn2Cu, a cell relaxed with GGA-PBE gives the computed powder X-ray diffraction pattern in this record (copper Kα).
Intensities are scaled so that the largest is 100.

Principal peaks in the range 10 to 90 degrees two-theta, low angle first:
d_spacing	two_theta	Rel. int.
4.466	19.88	35
4.235	20.98	40
3.882	22.91	100
2.730	32.81	39
2.233	40.39	62
2.199	41.05	95
1.716	53.39	41
1.451	64.20	22

Structure:
Cell: 5.460 7.764 5.052 Å, 90.00 90.00 90.00°
Element x y z (fractional)
Li  0.227  0.204  0.000
Li  0.227  0.796  0.000
Li  0.273  0.296  0.500
Li  0.273  0.704  0.500
Li  0.727  0.296  0.500
Li  0.727  0.704  0.500
Li  0.773  0.204  0.000
Li  0.773  0.796  0.000
Zn  0.000  0.000  0.548
Zn  0.000  0.500  0.773
Zn  0.500  0.000  0.273
Zn  0.500  0.500  0.048
Cu  0.000  0.500  0.243
Cu  0.500  0.000  0.743

***

Record 2
For Ce2HRu, a cell relaxed with GGA-PBE gives the computed powder X-ray diffraction pattern in this record (copper Kα).
Intensities are scaled so that the largest is 100.

Principal peaks in the range 10 to 90 degrees two-theta, low angle first:
d_spacing	two_theta	Rel. int.
3.244	27.50	47
3.222	27.69	31
2.659	33.71	91
2.428	37.03	55
2.289	39.35	100
2.282	39.49	99
2.049	44.21	39
1.452	64.13	46

Structure:
Cell: 8.186 5.318 6.443 Å, 90.00 90.24 90.00°
Element x y z (fractional)
Ce  0.111  0.250  0.001
Ce  0.111  0.250  0.501
Ce  0.325  0.750  0.000
Ce  0.325  0.750  0.500
Ce  0.675  0.250  0.000
Ce  0.675  0.250  0.500
Ce  0.889  0.750  0.499
Ce  0.889  0.750  0.999
H  0.095  0.600  0.250
H  0.095  0.900  0.750
H  0.905  0.100  0.250
H  0.905  0.400  0.750
Ru  0.396  0.246  0.250
Ru  0.396  0.254  0.750
Ru  0.604  0.746  0.250
Ru  0.604  0.754  0.750

***

Record 3
For InH8Pt6, a cell relaxed with GGA-PBE gives the computed powder X-ray diffraction pattern in this record (copper Kα).
Intensities are scaled so that the largest is 100.

Principal peaks in the range 10 to 90 degrees two-theta, low angle first:
d_spacing	two_theta	Rel. int.
3.574	24.92	98
2.374	37.90	100
2.216	40.71	81
1.802	50.66	44
1.609	57.25	31
1.405	66.53	20
1.308	72.23	30
1.105	88.51	18

Structure:
Cell: 5.586 5.586 5.586 Å, 83.46 83.46 83.46°
Element x y z (fractional)
In  0.000  0.000  0.000
H  0.178  0.456  0.617
H  0.263  0.263  0.263
H  0.383  0.822  0.544
H  0.456  0.617  0.178
H  0.544  0.383  0.822
H  0.617  0.178  0.456
H  0.737  0.737  0.737
H  0.822  0.544  0.383
Pt  0.142  0.583  0.289
Pt  0.289  0.142  0.583
Pt  0.417  0.711  0.858
Pt  0.583  0.289  0.142
Pt  0.711  0.858  0.417
Pt  0.858  0.417  0.711